(1)
Simulated powder X-ray diffraction pattern of TiNb3Cl7O2 for Cu Kα X-rays, from a structure optimized by DFT (PBE).

Structural model:
Cell lengths 9.811, 9.811, 12.823 Å; angles 93.80, 93.80, 99.08 degrees
Sites, in units of the cell vectors:
Ti: 0.000 0.000 0.000
Ti: 0.000 0.000 0.500
Ti: 0.110 0.890 0.750
Ti: 0.890 0.110 0.250
Nb: 0.074 0.336 0.439
Nb: 0.096 0.636 0.394
Nb: 0.174 0.555 0.608
Nb: 0.336 0.074 0.939
Nb: 0.364 0.904 0.106
Nb: 0.445 0.826 0.892
Nb: 0.555 0.174 0.108
Nb: 0.636 0.096 0.894
Nb: 0.664 0.926 0.061
Nb: 0.826 0.445 0.392
Nb: 0.904 0.364 0.606
Nb: 0.926 0.664 0.561
Cl: 0.025 0.213 0.115
Cl: 0.087 0.418 0.749
Cl: 0.096 0.124 0.853
Cl: 0.124 0.096 0.353
Cl: 0.207 0.793 0.250
Cl: 0.209 0.453 0.304
Cl: 0.213 0.025 0.615
Cl: 0.291 0.682 0.001
Cl: 0.298 0.365 0.547
Cl: 0.318 0.709 0.499
Cl: 0.365 0.298 0.047
Cl: 0.384 0.616 0.750
Cl: 0.418 0.087 0.249
Cl: 0.453 0.209 0.804
Cl: 0.547 0.791 0.196
Cl: 0.582 0.913 0.751
Cl: 0.616 0.384 0.250
Cl: 0.635 0.702 0.953
Cl: 0.682 0.291 0.501
Cl: 0.702 0.635 0.453
Cl: 0.709 0.318 0.999
Cl: 0.787 0.975 0.385
Cl: 0.791 0.547 0.696
Cl: 0.793 0.207 0.750
Cl: 0.876 0.904 0.647
Cl: 0.904 0.876 0.147
Cl: 0.913 0.582 0.251
Cl: 0.975 0.787 0.885
O: 0.020 0.804 0.460
O: 0.098 0.722 0.671
O: 0.196 0.980 0.040
O: 0.278 0.902 0.829
O: 0.722 0.098 0.171
O: 0.804 0.020 0.960
O: 0.902 0.278 0.329
O: 0.980 0.196 0.540

The 10 most intense peaks (2θ = 10–90°), most intense first:
2θ (°), I (rel.)
11.05, 100
11.90, 67
37.94, 18
32.10, 15
42.03, 11
29.04, 8
36.28, 7
39.87, 6
34.20, 6
28.86, 6

(2)
Simulated powder X-ray diffraction pattern of NbPCl10 for Cu Kα X-rays, from a structure optimized by DFT (PBE).

Structural model:
Cell lengths 7.622, 7.687, 14.688 Å; angles 82.79, 84.67, 69.94 degrees
Sites, in units of the cell vectors:
Nb: 0.000 0.000 0.000
Nb: 0.000 0.000 0.500
P: 0.394 0.406 0.269
P: 0.606 0.594 0.731
Cl: 0.108 0.731 0.607
Cl: 0.127 0.167 0.587
Cl: 0.139 0.033 0.132
Cl: 0.150 0.509 0.214
Cl: 0.190 0.152 0.903
Cl: 0.236 0.706 0.985
Cl: 0.290 0.899 0.412
Cl: 0.359 0.376 0.402
Cl: 0.463 0.834 0.777
Cl: 0.468 0.421 0.769
Cl: 0.532 0.579 0.231
Cl: 0.537 0.166 0.223
Cl: 0.641 0.624 0.598
Cl: 0.710 0.101 0.588
Cl: 0.764 0.294 0.015
Cl: 0.810 0.848 0.097
Cl: 0.850 0.491 0.786
Cl: 0.861 0.967 0.868
Cl: 0.873 0.833 0.413
Cl: 0.892 0.269 0.393

The 10 most intense peaks (2θ = 10–90°), most intense first:
2θ (°), I (rel.)
16.45, 100
16.92, 95
14.25, 89
12.35, 61
17.85, 54
18.20, 44
30.20, 39
20.25, 38
32.46, 36
31.65, 30

(3)
Simulated powder X-ray diffraction pattern of Nb2PCl for Cu Kα X-rays, from a structure optimized by DFT (PBE).

Structural model:
Cell lengths 4.455, 4.455, 4.455 Å; angles 60.00, 60.00, 60.00 degrees
Sites, in units of the cell vectors:
Nb: 0.250 0.250 0.250
Nb: 0.750 0.750 0.750
P: 0.000 0.000 0.000
Cl: 0.500 0.500 0.500

The 7 most intense peaks (2θ = 10–90°), most intense first:
2θ (°), I (rel.)
40.50, 100
73.67, 32
28.33, 31
58.61, 16
66.36, 11
87.62, 10
50.16, 9